Record 1
The following is a theoretical X-ray diffraction stick pattern of CaLaSn. It was derived from DFT lattice parameters and positions (PBE), using Cu Kα (weighted mean of Kα1 and Kα2).
No peak broadening, texture or thermal motion is included.

Atomic structure:
Cell: 7.282 7.282 7.282 Å, 139.75 123.32 71.79°
Fractional coordinates of all 6 atoms:
1 Ca 0.237 0.000 0.237
2 Ca 0.763 0.000 0.763
3 La 0.307 0.307 0.000
4 La 0.693 0.693 0.000
5 Sn 0.140 0.640 0.500
6 Sn 0.860 0.360 0.500

Principal peaks in the range 5° ≤ 2θ ≤ 70°, sorted by position:
d_spacing  I (rel.)
5.899  212
4.612  241
3.457  425
3.343  205
3.094  1000
2.982  354
2.766  576
2.505  353
2.386  255
2.305  480
2.029  202
1.509  229


Record 2
The following is a theoretical X-ray diffraction stick pattern of CaLaSn. It was derived from DFT lattice parameters and positions (PBE), using Cu Kα (weighted mean of Kα1 and Kα2).
No peak broadening, texture or thermal motion is included.

Atomic structure:
Cell: 4.836 4.859 8.630 Å, 90.00 90.00 90.00°
Fractional coordinates of all 6 atoms:
1 Ca 0.000 0.000 0.000
2 Ca 0.500 0.000 0.355
3 La 0.000 0.500 0.637
4 La 0.500 0.500 0.002
5 Sn 0.000 0.500 0.262
6 Sn 0.500 0.000 0.732

Principal peaks in the range 5° ≤ 2θ ≤ 70°, sorted by position:
d_spacing  I (rel.)
4.859  181
4.223  336
3.427  264
3.223  204
3.185  796
2.877  234
2.684  1000
2.474  444
2.429  324
2.418  319
1.714  223
1.350  187


Record 3
The following is a theoretical X-ray diffraction stick pattern of Sr6Ca2La. It was derived from DFT lattice parameters and positions (PBE), using Cu Kα (weighted mean of Kα1 and Kα2).
No peak broadening, texture or thermal motion is included.

Atomic structure:
Cell: 11.952 10.134 7.790 Å, 82.53 57.21 40.26°
Fractional coordinates of all 9 atoms:
1 Sr 0.007 0.325 0.675
2 Sr 0.325 0.007 0.993
3 Sr 0.338 0.662 0.338
4 Sr 0.662 0.338 0.662
5 Sr 0.675 0.993 0.007
6 Sr 0.993 0.675 0.325
7 Ca 0.338 0.338 0.662
8 Ca 0.662 0.662 0.338
9 La 0.000 0.000 0.000

Principal peaks in the range 5° ≤ 2θ ≤ 70°, sorted by position:
d_spacing  I (rel.)
5.588  56
3.273  1000
3.205  497
2.367  98
2.266  181
1.904  201
1.863  388
1.637  122
1.602  60
1.490  84
1.439  82
1.433  92


Record 4
The following is a theoretical X-ray diffraction stick pattern of SrCaLa2Zn. It was derived from DFT lattice parameters and positions (PBE), using Cu Kα (weighted mean of Kα1 and Kα2).
No peak broadening, texture or thermal motion is included.

Atomic structure:
Cell: 5.775 5.315 6.377 Å, 90.00 101.41 90.00°
Fractional coordinates of all 5 atoms:
1 Sr 0.000 0.000 0.000
2 Ca 0.122 0.500 0.522
3 La 0.532 0.500 0.119
4 La 0.572 0.000 0.480
5 Zn 0.682 0.500 0.694

Principal peaks in the range 5° ≤ 2θ ≤ 70°, sorted by position:
d_spacing  I (rel.)
5.661  564
4.682  240
3.513  699
3.126  233
3.110  1000
2.831  317
2.795  194
2.694  433
2.658  463
2.612  371
1.938  219
1.802  174


- What is the formula in the second record?
  CaLaSn